[1]
For Sr3MgO4, the PBE geometry in the Materials Project gives the calculated powder XRD pattern in this record (a wavelength of 1.5418 Å).

```
Sr3MgO4
1.0
3.5070 0.0000 0.0000
0.0000 5.0758 0.0000
0.0000 0.0000 7.1177
Sr Mg O
3 1 4
Direct
0.0000 0.0000 0.0000
0.5000 0.5000 0.2611
0.5000 0.5000 0.7389
0.0000 0.0000 0.5000
0.0000 0.5000 0.0000
0.0000 0.5000 0.5000
0.5000 0.0000 0.2820
0.5000 0.0000 0.7180
```

Peak list (10 most intense, 10 to 90 degrees two-theta, in order of falling intensity)
| d [Å] | I (rel.) |
| --- | --- |
| 2.498 | 100 |
| 1.780 | 83 |
| 2.914 | 61 |
| 2.885 | 59 |
| 2.538 | 54 |
| 1.515 | 19 |
| 1.502 | 18 |
| 1.443 | 17 |
| 1.753 | 16 |
| 1.457 | 16 |

***

[2]
For Sr3MgO4, the PBE geometry in the Materials Project gives the calculated powder XRD pattern in this record (a wavelength of 1.5418 Å).

```
Sr3MgO4
1.0
6.4729 0.0000 0.0000
0.0000 13.2917 0.0000
0.0000 0.0000 3.3859
Sr Mg O
6 2 8
Direct
0.0000 0.0000 0.0000
0.0000 0.2942 0.5000
0.0000 0.7058 0.5000
0.5000 0.2058 0.5000
0.5000 0.5000 0.0000
0.5000 0.7942 0.5000
0.0000 0.5000 0.0000
0.5000 0.0000 0.0000
0.2083 0.5000 0.5000
0.2500 0.2500 0.0000
0.2500 0.7500 0.0000
0.2917 0.0000 0.5000
0.7083 0.0000 0.5000
0.7500 0.2500 0.0000
0.7500 0.7500 0.0000
0.7917 0.5000 0.5000
```

Peak list (10 most intense, 10 to 90 degrees two-theta, in order of falling intensity)
| d [Å] | I (rel.) |
| --- | --- |
| 2.207 | 100 |
| 3.656 | 64 |
| 3.323 | 52 |
| 3.017 | 44 |
| 1.990 | 42 |
| 3.236 | 35 |
| 2.927 | 31 |
| 1.501 | 21 |
| 1.426 | 19 |
| 1.940 | 15 |

***

[3]
For SrMgO3, the PBE geometry in the Materials Project gives the calculated powder XRD pattern in this record (a wavelength of 1.5418 Å).

```
SrMgO3
1.0
4.0256 0.0000 0.0000
0.0000 4.0256 0.0000
0.0000 0.0000 4.0256
Sr Mg O
1 1 3
Direct
0.0000 0.0000 0.0000
0.5000 0.5000 0.5000
0.0000 0.5000 0.5000
0.5000 0.0000 0.5000
0.5000 0.5000 0.0000
```

Peak list (10 most intense, 10 to 90 degrees two-theta, in order of falling intensity)
| d [Å] | I (rel.) |
| --- | --- |
| 2.847 | 100 |
| 2.013 | 49 |
| 2.324 | 49 |
| 1.643 | 40 |
| 1.423 | 29 |
| 4.026 | 25 |
| 1.273 | 18 |
| 1.214 | 15 |
| 1.800 | 13 |
| 1.162 | 9 |

***

[4]
For SrMgO2, the PBE geometry in the Materials Project gives the calculated powder XRD pattern in this record (a wavelength of 1.5418 Å).

```
SrMgO2
1.0
4.1994 0.0000 0.0000
0.0000 4.1994 0.0000
0.0000 0.0000 2.9565
Sr Mg O
1 1 2
Direct
0.0000 0.0000 0.0000
0.5000 0.5000 0.0000
0.0000 0.5000 0.5000
0.5000 0.0000 0.5000
```

Peak list (10 most intense, 10 to 90 degrees two-theta, in order of falling intensity)
| d [Å] | I (rel.) |
| --- | --- |
| 2.097 | 100 |
| 4.199 | 40 |
| 2.969 | 27 |
| 1.211 | 20 |
| 2.417 | 19 |
| 2.957 | 13 |
| 1.712 | 12 |
| 1.327 | 11 |
| 1.585 | 10 |
| 1.485 | 10 |

***

[5]
For Sr3MgTa2O9, the PBE geometry in the Materials Project gives the calculated powder XRD pattern in this record (a wavelength of 1.5418 Å).

```
Sr3MgTa2O9
1.0
5.7203 0.0000 0.0000
-2.8601 4.9539 0.0000
0.0000 0.0000 7.0327
Sr Mg Ta O
3 1 2 9
Direct
0.0000 0.0000 0.0000
0.3333 0.6667 0.6737
0.6667 0.3333 0.3263
0.0000 0.0000 0.5000
0.3333 0.6667 0.1811
0.6667 0.3333 0.8189
0.0000 0.5000 0.0000
0.1685 0.3370 0.3271
0.1685 0.8315 0.3271
0.3370 0.1685 0.6729
0.5000 0.0000 0.0000
0.5000 0.5000 0.0000
0.6630 0.8315 0.3271
0.8315 0.1685 0.6729
0.8315 0.6630 0.6729
```

Peak list (10 most intense, 10 to 90 degrees two-theta, in order of falling intensity)
| d [Å] | I (rel.) |
| --- | --- |
| 2.864 | 100 |
| 2.025 | 32 |
| 1.652 | 30 |
| 4.050 | 20 |
| 4.954 | 13 |
| 1.657 | 11 |
| 1.434 | 11 |
| 1.282 | 10 |
| 1.430 | 10 |
| 1.280 | 9 |

***

[6]
For Sr2MgTeO6, the PBE geometry in the Materials Project gives the calculated powder XRD pattern in this record (a wavelength of 1.5418 Å).

```
Sr2MgTeO6
1.0
4.9072 -2.8359 0.0000
4.9072 2.8359 0.0000
-3.3040 0.0000 4.6405
Sr Mg Te O
2 1 1 6
Direct
0.2498 0.2498 0.2477
0.7502 0.7502 0.7523
0.0000 0.0000 0.5000
0.5000 0.5000 0.0000
0.2365 0.7200 0.2186
0.2586 0.2586 0.7162
0.2800 0.7635 0.7814
0.7200 0.2365 0.2186
0.7414 0.7414 0.2838
0.7635 0.2800 0.7814
```

Peak list (10 most intense, 10 to 90 degrees two-theta, in order of falling intensity)
| d [Å] | I (rel.) |
| --- | --- |
| 2.835 | 100 |
| 4.633 | 34 |
| 2.010 | 29 |
| 1.637 | 24 |
| 1.417 | 21 |
| 2.848 | 19 |
| 1.642 | 17 |
| 1.999 | 14 |
| 2.422 | 11 |
| 1.270 | 11 |

***

[7]
For Sr2MgTiO4, the PBE geometry in the Materials Project gives the calculated powder XRD pattern in this record (a wavelength of 1.5418 Å).

```
Sr2MgTiO4
1.0
3.9209 0.0000 0.0000
0.0000 3.9209 0.0000
0.0000 0.0000 19.2612
Sr Mg Ti O
4 2 2 8
Direct
0.0000 0.0000 0.1873
0.0000 0.0000 0.8127
0.5000 0.5000 0.3127
0.5000 0.5000 0.6873
0.0000 0.0000 0.0000
0.5000 0.5000 0.5000
0.0000 0.0000 0.5000
0.5000 0.5000 0.0000
0.0000 0.0000 0.3079
0.0000 0.0000 0.6921
0.0000 0.5000 0.0000
0.0000 0.5000 0.5000
0.5000 0.0000 0.0000
0.5000 0.0000 0.5000
0.5000 0.5000 0.1921
0.5000 0.5000 0.8079
```

Peak list (10 most intense, 10 to 90 degrees two-theta, in order of falling intensity)
| d [Å] | I (rel.) |
| --- | --- |
| 3.346 | 100 |
| 2.773 | 80 |
| 3.210 | 62 |
| 1.960 | 44 |
| 2.098 | 39 |
| 4.815 | 35 |
| 1.673 | 32 |
| 2.748 | 29 |
| 1.692 | 29 |
| 2.664 | 28 |

***

[8]
For Sr2MgTiO4, the PBE geometry in the Materials Project gives the calculated powder XRD pattern in this record (a wavelength of 1.5418 Å).

```
Sr2MgTiO4
1.0
3.8344 0.0000 0.0000
0.0000 3.8344 0.0000
0.0000 0.0000 17.0604
Sr Mg Ti O
4 2 2 8
Direct
0.0000 0.0000 0.1109
0.0000 0.0000 0.8891
0.5000 0.5000 0.3891
0.5000 0.5000 0.6109
0.0000 0.5000 0.2500
0.5000 0.0000 0.7500
0.0000 0.0000 0.5000
0.5000 0.5000 0.0000
0.0000 0.0000 0.3078
0.0000 0.0000 0.6922
0.0000 0.5000 0.5009
0.0000 0.5000 0.9991
0.5000 0.0000 0.0009
0.5000 0.0000 0.4991
0.5000 0.5000 0.1922
0.5000 0.5000 0.8078
```

Peak list (10 most intense, 10 to 90 degrees two-theta, in order of falling intensity)
| d [Å] | I (rel.) |
| --- | --- |
| 2.549 | 100 |
| 2.711 | 38 |
| 1.532 | 38 |
| 2.288 | 36 |
| 3.179 | 35 |
| 1.917 | 33 |
| 8.530 | 31 |
| 3.741 | 28 |
| 1.706 | 12 |
| 1.444 | 11 |